(1)
Simulated X-ray powder pattern of ThCu2Ni9 for a wavelength of 1.5418 Å, from DFT lattice parameters and positions (GGA-PBE).
Lines closer than 0.1° are merged.

Most intense lines, 10° ≤ 2θ ≤ 90°, by angle:
| h k l | Position (°2θ) | d (Å) | I/Imax |
| --- | --- | --- | --- |
| 3 1 0 | 35.2 | 2.546 | 266 |
| 2 2 1 | 36.8 | 2.439 | 383 |
| 3 1 1 | 40.2 | 2.242 | 1000 |
| 2 0 2 | 44.4 | 2.040 | 421 |
| 2 1 2 | 45.9 | 1.977 | 438 |
| 4 1 0 | 46.5 | 1.953 | 328 |

Structure:
a = 8.0517 Å, b = 8.0517 Å, c = 4.7316 Å
α = 90.00°, β = 90.00°, γ = 90.00°
Space group P4/mbm (No. 127)
Symmetry-distinct sites (fractional):
Th  0.0000  0.0000  0.0000
Cu  0.1131  0.3869  0.0000
Ni  0.0000  0.5000  0.5000
Ni  0.0650  0.2116  0.5000
Ni  0.1786  0.6786  0.2406

(2)
Simulated X-ray powder pattern of Li2Al6Tc for a wavelength of 1.5418 Å, from DFT lattice parameters and positions (GGA-PBE).
Lines closer than 0.1° are merged.

Most intense lines, 10° ≤ 2θ ≤ 90°, by angle:
| h k l | Position (°2θ) | d (Å) | I/Imax |
| --- | --- | --- | --- |
| 1 1 0 | 15.6 | 5.664 | 534 |
| 0 2 0 | 22.2 | 4.005 | 491 |
| 1 0 1 | 23.5 | 3.792 | 511 |
| 3 0 1 | 39.7 | 2.269 | 1000 |
| 0 0 2 | 42.0 | 2.153 | 262 |
| 2 3 1 | 46.0 | 1.974 | 302 |

Structure:
a = 8.0059 Å, b = 8.0149 Å, c = 4.3051 Å
α = 90.00°, β = 90.00°, γ = 90.00°
Space group Pnnm (No. 58)
Symmetry-distinct sites (fractional):
Li  0.2021  0.2031  0.0000
Al  0.0293  0.3275  0.5000
Al  0.1255  0.8756  0.0000
Al  0.1724  0.5302  0.0000
Tc  0.0000  0.0000  0.5000

(3)
Simulated X-ray powder pattern of TmMg2B2O6 for a wavelength of 1.5418 Å, from DFT lattice parameters and positions (GGA-PBE).
Lines closer than 0.1° are merged.

Most intense lines, 10° ≤ 2θ ≤ 90°, by angle:
| h k l | Position (°2θ) | d (Å) | I/Imax |
| --- | --- | --- | --- |
| 0 0 1 | 11.6 | 7.630 | 1000 |
| 1 0 0 | 20.7 | 4.287 | 261 |
| 0 1 1 | 23.8 | 3.737 | 713 |
| 1 0 2 | 31.4 | 2.850 | 561 |
| 2 -1 1 | 38.2 | 2.354 | 195 |
| 1 0 3 | 41.3 | 2.187 | 177 |

Structure:
a = 4.9501 Å, b = 4.9501 Å, c = 7.6295 Å
α = 90.00°, β = 90.00°, γ = 120.00°
Space group P-3 (No. 147)
Symmetry-distinct sites (fractional):
Tm  0.0000  0.0000  0.0000
Mg  0.3333  0.6667  0.2861
B  0.3333  0.6667  0.8166
O  0.0549  0.6699  0.8195

(4)
Simulated X-ray powder pattern of La12Os5Pb for a wavelength of 1.5418 Å, from DFT lattice parameters and positions (GGA-PBE).
Lines closer than 0.1° are merged.

Most intense lines, 10° ≤ 2θ ≤ 90°, by angle:
| h k l | Position (°2θ) | d (Å) | I/Imax |
| --- | --- | --- | --- |
| 2 2 2 | 30.5 | 2.928 | 482 |
| 2 1 3 | 31.9 | 2.803 | 692 |
| 1 3 2 | 33.0 | 2.711 | 1000 |
| 2 3 1 | 33.9 | 2.644 | 526 |
| 3 2 1 | 34.1 | 2.627 | 432 |
| 4 0 0 | 37.1 | 2.425 | 533 |

Structure:
a = 9.7026 Å, b = 9.8758 Å, c = 10.9854 Å
α = 90.00°, β = 90.00°, γ = 90.00°
Space group Immm (No. 71)
Symmetry-distinct sites (fractional):
La  0.0000  0.1890  0.2166
La  0.1842  0.5000  0.1662
La  0.2064  0.3259  0.5000
Os  0.0000  0.0000  0.0000
Os  0.0000  0.3285  0.0000
Os  0.0000  0.5000  0.3648
Pb  0.0000  0.0000  0.5000

(5)
Simulated X-ray powder pattern of Pu2Th2Pt15 for a wavelength of 1.5418 Å, from DFT lattice parameters and positions (GGA-PBE).
Lines closer than 0.1° are merged.

Most intense lines, 10° ≤ 2θ ≤ 90°, by angle:
| h k l | Position (°2θ) | d (Å) | I/Imax |
| --- | --- | --- | --- |
| 3 0 0 | 33.1 | 2.703 | 404 |
| 2 2 0 | 38.5 | 2.341 | 544 |
| 0 3 3 | 38.6 | 2.334 | 1000 |
| 0 0 6 | 38.9 | 2.315 | 303 |
| 2 2 3 | 43.3 | 2.089 | 705 |
| 6 0 0 | 69.6 | 1.351 | 310 |

Structure:
a = 9.3621 Å, b = 9.3621 Å, c = 13.8891 Å
α = 90.00°, β = 90.00°, γ = 120.00°
Space group R-3m (No. 166, hexagonal axes)
Symmetry-distinct sites (fractional):
Pu  0.0000  0.0000  0.0968
Th  0.0000  0.0000  0.3538
Pt  0.0000  0.3202  0.0000
Pt  0.0000  0.5000  0.5000
Pt  0.0068  0.5034  0.1579

(6)
Simulated X-ray powder pattern of Pm2Cu3 for a wavelength of 1.5418 Å, from DFT lattice parameters and positions (GGA-PBE).
Lines closer than 0.1° are merged.

Most intense lines, 10° ≤ 2θ ≤ 90°, by angle:
| h k l | Position (°2θ) | d (Å) | I/Imax |
| --- | --- | --- | --- |
| 1 1 2 | 29.5 | 3.024 | 904 |
| 1 3 1 | 34.6 | 2.595 | 1000 |
| 0 2 3 | 38.2 | 2.354 | 578 |
| 0 4 1 | 38.8 | 2.321 | 326 |
| 2 2 1 | 41.1 | 2.195 | 520 |
| 2 0 2 | 41.5 | 2.177 | 287 |

Structure:
a = 5.1689 Å, b = 9.6967 Å, c = 8.0766 Å
α = 90.00°, β = 90.00°, γ = 90.00°
Space group Cmce (No. 64)
Symmetry-distinct sites (fractional):
Pm  0.0000  0.1612  0.0997
Cu  0.0000  0.0000  0.5000
Cu  0.2500  0.0917  0.7500

(7)
Simulated X-ray powder pattern of RbCaAl2Cl8 for a wavelength of 1.5418 Å, from DFT lattice parameters and positions (GGA-PBE).
Lines closer than 0.1° are merged.

Most intense lines, 10° ≤ 2θ ≤ 90°, by angle:
| h k l | Position (°2θ) | d (Å) | I/Imax |
| --- | --- | --- | --- |
| 1 0 4 | 19.5 | 4.541 | 708 |
| 0 0 9 | 27.4 | 3.250 | 360 |
| 1 1 3 | 28.2 | 3.164 | 1000 |
| 2 -1 6 | 32.5 | 2.758 | 797 |
| 1 1 12 | 46.1 | 1.970 | 434 |
| 3 0 0 | 47.1 | 1.931 | 432 |

Structure:
a = 6.6893 Å, b = 6.6893 Å, c = 29.2534 Å
α = 90.00°, β = 90.00°, γ = 120.00°
Space group R-3 (No. 148, hexagonal axes)
Symmetry-distinct sites (fractional):
Rb  0.0000  0.0000  0.0000
Ca  0.0000  0.0000  0.5000
Al  0.0000  0.0000  0.2466
Cl  0.0000  0.0000  0.3213
Cl  0.0011  0.6793  0.7764

(8)
Simulated X-ray powder pattern of Nd12SmY2 for a wavelength of 1.5418 Å, from DFT lattice parameters and positions (GGA-PBE).
Lines closer than 0.1° are merged.

Most intense lines, 10° ≤ 2θ ≤ 90°, by angle:
| h k l | Position (°2θ) | d (Å) | I/Imax |
| --- | --- | --- | --- |
| 2 0 4 | 28.5 | 3.134 | 278 |
| 0 2 7 | 29.3 | 3.053 | 482 |
| 2 2 2 | 29.9 | 2.988 | 635 |
| 0 4 0 | 30.6 | 2.919 | 721 |
| 0 2 8 | 32.4 | 2.761 | 1000 |
| 2 2 6 | 36.3 | 2.477 | 506 |

Structure:
a = 7.2387 Å, b = 11.6780 Å, c = 25.0666 Å
α = 90.00°, β = 90.00°, γ = 90.00°
Space group Cmme (No. 67)
Symmetry-distinct sites (fractional):
Nd  0.0000  0.0026  0.0743
Nd  0.0000  0.0239  0.5603
Nd  0.2305  0.2500  0.4150
Nd  0.2480  0.2500  0.8693
Nd  0.2500  0.0000  0.1988
Nd  0.2500  0.0000  0.3247
Sm  0.0000  0.2500  0.9988
Y  0.0000  0.2500  0.2670
Y  0.0000  0.2500  0.7288

(9)
Simulated X-ray powder pattern of Ac6TbTm for a wavelength of 1.5418 Å, from DFT lattice parameters and positions (GGA-PBE).
Lines closer than 0.1° are merged.

Most intense lines, 10° ≤ 2θ ≤ 90°, by angle:
| h k l | Position (°2θ) | d (Å) | I/Imax |
| --- | --- | --- | --- |
| 1 1 4 | 28.1 | 3.172 | 1000 |
| 2 0 0 | 32.1 | 2.785 | 365 |
| 0 0 8 | 33.5 | 2.675 | 148 |
| 2 2 0 | 46.1 | 1.969 | 137 |
| 2 0 8 | 47.1 | 1.929 | 233 |
| 3 1 4 | 54.9 | 1.673 | 323 |

Structure:
a = 5.5694 Å, b = 5.5694 Å, c = 21.3995 Å
α = 90.00°, β = 90.00°, γ = 90.00°
Space group I4/mmm (No. 139)
Symmetry-distinct sites (fractional):
Ac  0.0000  0.0000  0.2495
Ac  0.0000  0.5000  0.1163
Tb  0.0000  0.0000  0.0000
Tm  0.0000  0.0000  0.5000